No. 1
Starting from DFT lattice parameters and positions (PBE), the PXRD pattern of HoTm2Sc3 was calculated for Cu Kα X-rays.
Peak positions follow from Bragg's law for the DFT cell and can differ from measured ones.

The 10 most intense peaks (2θ from 15° to 90°), most intense first:
d (Å)	2theta	I_rel
2.830	31.61	100.0
5.432	16.32	97.4
2.718	32.96	73.7
2.874	31.12	71.2
2.324	38.74	57.4
1.445	64.47	49.8
2.662	33.67	45.5
1.707	53.69	41.6
2.530	35.48	39.9
2.257	39.95	36.5

Cell and atoms:
```
HoTm2Sc3
1.0
5.915 0.000 0.000
0.000 3.413 0.000
-1.975 0.000 16.296
Ho Tm Sc
2 4 6
direct
0.028 0.250 0.333 Ho
0.972 0.750 0.667 Ho
0.250 0.250 0.000 Tm
0.473 0.250 0.667 Tm
0.527 0.750 0.333 Tm
0.750 0.750 0.000 Tm
0.139 0.750 0.167 Sc
0.251 0.750 0.500 Sc
0.361 0.750 0.833 Sc
0.639 0.250 0.167 Sc
0.749 0.250 0.500 Sc
0.861 0.250 0.833 Sc
```

No. 2
Starting from DFT lattice parameters and positions (PBE), the PXRD pattern of La2Pm3Dy2 was calculated for Cu Kα X-rays.
Peak positions follow from Bragg's law for the DFT cell and can differ from measured ones.

The 10 most intense peaks (2θ from 15° to 90°), most intense first:
d (Å)	2theta	I_rel
2.929	30.52	100.0
2.910	30.73	49.1
2.811	31.84	43.9
2.983	29.95	27.8
1.506	61.58	27.1
3.022	29.56	25.1
2.249	40.09	21.3
1.684	54.50	19.6
2.096	43.16	17.9
3.512	25.36	17.8

Cell and atoms:
```
La2Pm3Dy2
1.0
5.819 0.000 0.000
0.000 3.512 0.000
-2.901 0.000 11.864
La Pm Dy
2 3 2
direct
0.143 0.000 0.287 La
0.857 0.000 0.713 La
0.000 0.500 0.000 Pm
0.286 0.500 0.572 Pm
0.714 0.500 0.428 Pm
0.429 0.500 0.856 Dy
0.571 0.500 0.144 Dy
```

No. 3
Starting from DFT lattice parameters and positions (PBE), the PXRD pattern of K2AcSbS4 was calculated for Cu Kα X-rays.
Peak positions follow from Bragg's law for the DFT cell and can differ from measured ones.

The 10 most intense peaks (2θ from 15° to 90°), most intense first:
d (Å)	2theta	I_rel
3.063	29.15	100.0
2.165	41.71	47.2
3.586	24.83	28.1
3.490	25.53	25.4
3.738	23.81	21.3
1.369	68.52	20.6
2.213	40.78	12.3
1.793	50.93	12.2
1.745	52.44	11.9
2.124	42.56	11.5

Cell and atoms:
```
K2AcSbS4
1.0
-4.248 4.426 6.119
4.248 -4.426 6.119
4.248 4.426 -6.119
K Ac Sb S
4 2 2 8
direct
0.000 0.000 0.000 K
0.500 0.000 0.000 K
0.500 0.000 0.500 K
0.500 0.500 0.500 K
0.000 0.500 0.500 Ac
0.500 0.500 0.000 Ac
0.000 0.000 0.500 Sb
0.000 0.500 0.000 Sb
0.208 0.743 0.466 S
0.223 0.257 0.966 S
0.231 0.248 0.517 S
0.231 0.714 0.983 S
0.769 0.286 0.017 S
0.769 0.752 0.483 S
0.777 0.743 0.034 S
0.792 0.257 0.534 S
```